Diffraction record for Tb2HoEr5In. The powder diffractogram is theoretical, not measured: it uses a GGA-PBE-relaxed structure and Cu Kα (weighted mean of Kα1 and Kα2).
No peak broadening, texture or thermal motion is included.

Cell and atoms:
```
data_Tb2HoEr5In
_cell_length_a 5.2925
_cell_length_b 20.1456
_cell_length_c 10.3681
_cell_angle_alpha 90.00
_cell_angle_beta 90.00
_cell_angle_gamma 90.00
_symmetry_space_group_name_H-M 'C m c 21'
_symmetry_Int_Tables_number 36
loop_
_symmetry_equiv_pos_as_xyz
'x,y,z'
'-x,-y,z+1/2'
'-x,y,z'
'x,-y,z+1/2'
'x+1/2,y+1/2,z'
'-x+1/2,-y+1/2,z+1/2'
'-x+1/2,y+1/2,z'
'x+1/2,-y+1/2,z+1/2'
loop_
_atom_site_label
_atom_site_type_symbol
_atom_site_fract_x
_atom_site_fract_y
_atom_site_fract_z
Tb1 Tb 0.0000 0.1162 0.0000
Tb2 Tb 0.0000 0.1163 0.4229
Ho1 Ho 0.0000 0.2084 0.7115
Er1 Er 0.0000 0.0103 0.7114
Er2 Er 0.0000 0.2882 0.0134
Er3 Er 0.0000 0.2885 0.4096
Er4 Er 0.0000 0.3824 0.7114
Er5 Er 0.0000 0.4999 0.4612
In1 In 0.0000 0.4039 0.2110
```

The 12 most intense peaks (2θ = 5–70°), in order of rising 2θ:
| 2θ (°) | I/Imax | index |
| --- | --- | --- |
| 27.50 | 11 | 1 3 2 |
| 27.93 | 13 | 0 6 1 |
| 31.23 | 29 | 1 1 3 |
| 32.85 | 100 | 1 5 2 |
| 33.87 | 31 | 2 0 0 |
| 34.61 | 16 | 0 0 4 |
| 45.00 | 8 | 0 10 0 |
| 49.21 | 12 | 2 0 4 |
| 57.49 | 8 | 2 10 0 |
| 59.76 | 8 | 1 11 3 |
| 59.96 | 18 | 3 5 2 |
| 63.36 | 9 | 2 6 5 |